This entry pairs a crystal structure of Mn5FeSi2Mo2 with its simulated powder diffraction line list. Radiation: Cu Kα, 1.54184 Å. Structure: a cell relaxed with GGA-PBE.
Peak positions follow from Bragg's law for the DFT cell and can differ from measured ones.

Top 6 peaks for 10 to 80 degrees two-theta, in order of falling intensity:
- 2θ = 42.45°, rel. 100
- 2θ = 42.93°, rel. 52
- 2θ = 35.25°, rel. 43
- 2θ = 39.70°, rel. 29
- 2θ = 71.73°, rel. 25
- 2θ = 46.32°, rel. 24

Structural model:
a = 8.6863 Å, b = 8.6863 Å, c = 3.3708 Å
α = 90.00°, β = 90.00°, γ = 90.00°
Atoms (fractional coordinates):
Mn 0.0000 0.5000 0.0000
Mn 0.0590 0.2010 0.0000
Mn 0.2010 0.9410 0.0000
Mn 0.2990 0.4410 0.0000
Mn 0.4410 0.7010 0.0000
Mn 0.5000 0.0000 0.0000
Mn 0.5590 0.2990 0.0000
Mn 0.7010 0.5590 0.0000
Mn 0.7990 0.0590 0.0000
Mn 0.9410 0.7990 0.0000
Fe 0.0000 0.0000 0.5000
Fe 0.5000 0.5000 0.5000
Si 0.1242 0.3758 0.5000
Si 0.3758 0.8758 0.5000
Si 0.6242 0.1242 0.5000
Si 0.8758 0.6242 0.5000
Mo 0.1748 0.6748 0.5000
Mo 0.3252 0.1748 0.5000
Mo 0.6748 0.8252 0.5000
Mo 0.8252 0.3252 0.5000

---

This entry pairs a crystal structure of MnFe10N8 with its simulated powder diffraction line list. Radiation: Cu Kα, 1.54184 Å. Structure: a cell relaxed with GGA-PBE.
Peak positions follow from Bragg's law for the DFT cell and can differ from measured ones.

Top 6 peaks for 10 to 80 degrees two-theta, in order of falling intensity:
- 2θ = 39.29°, rel. 100
- 2θ = 45.42°, rel. 31
- 2θ = 45.60°, rel. 30
- 2θ = 46.05°, rel. 28
- 2θ = 66.68°, rel. 24
- 2θ = 66.32°, rel. 17

Structural model:
a = 7.3932 Å, b = 7.3932 Å, c = 6.2911 Å
α = 104.98°, β = 104.98°, γ = 31.34°
Atoms (fractional coordinates):
Mn 0.0000 0.0000 0.0000
Fe 0.1040 0.1040 0.4730
Fe 0.1855 0.1855 0.8964
Fe 0.2719 0.2719 0.3592
Fe 0.3624 0.3624 0.8133
Fe 0.4562 0.4562 0.2739
Fe 0.5438 0.5438 0.7261
Fe 0.6376 0.6376 0.1867
Fe 0.7281 0.7281 0.6408
Fe 0.8145 0.8145 0.1036
Fe 0.8960 0.8960 0.5270
N 0.0447 0.0447 0.7307
N 0.1375 0.1375 0.1849
N 0.3209 0.3209 0.0861
N 0.4055 0.4055 0.5443
N 0.5945 0.5945 0.4557
N 0.6791 0.6791 0.9139
N 0.8625 0.8625 0.8151
N 0.9553 0.9553 0.2693

---

This entry pairs a crystal structure of MnFe4N with its simulated powder diffraction line list. Radiation: Cu Kα, 1.54184 Å. Structure: a cell relaxed with GGA-PBE.
Peak positions follow from Bragg's law for the DFT cell and can differ from measured ones.

Top 6 peaks for 10 to 80 degrees two-theta, in order of falling intensity:
- 2θ = 46.18°, rel. 100
- 2θ = 40.63°, rel. 85
- 2θ = 43.33°, rel. 57
- 2θ = 41.13°, rel. 47
- 2θ = 50.29°, rel. 35
- 2θ = 36.05°, rel. 34

Structural model:
a = 4.6373 Å, b = 4.8028 Å, c = 5.8276 Å
α = 90.00°, β = 90.00°, γ = 90.00°
Atoms (fractional coordinates):
Mn 0.0000 0.0000 0.0000
Mn 0.5000 0.0000 0.5000
Fe 0.0000 0.1658 0.3623
Fe 0.0000 0.8342 0.6377
Fe 0.2500 0.3448 0.7500
Fe 0.2500 0.6552 0.2500
Fe 0.5000 0.1658 0.1377
Fe 0.5000 0.8342 0.8623
Fe 0.7500 0.3448 0.7500
Fe 0.7500 0.6552 0.2500
N 0.0000 0.5000 0.5000
N 0.5000 0.5000 0.0000